Record 1
# CsCd2Au
Computed X-ray powder pattern, Cu Kα (weighted mean of Kα1 and Kα2). Input: a crystal structure in Alexandria, relaxed with GGA-PBE.

Main lines, sorted by position (2θ from 10° to 90°):
(hkl), 2θ/deg, I (rel.)
0 0 1, 10.7, 50
1 1 1, 25.3, 63
0 1 2, 25.8, 50
1 2 1, 35.5, 100
2 0 0, 36.4, 45
1 2 2, 40.4, 37

Structure:
a b c (Å): 4.9335 6.2881 8.2811
angles (deg): 90.00 90.00 90.00
Space group Pmmn (No. 59, origin choice 2)
Unique sites:
Cs 0.2500 0.2500 0.0690 [2 per cell]
Cd 0.2500 0.0036 0.6215 [4 per cell]
Au 0.2500 0.7500 0.3265 [2 per cell]

Record 2
# Cs4Cd2Au
Computed X-ray powder pattern, Cu Kα (weighted mean of Kα1 and Kα2). Input: a crystal structure in Alexandria, relaxed with GGA-PBE.

Main lines, sorted by position (2θ from 10° to 90°):
(hkl), 2θ/deg, I (rel.)
1 1 0, 17.3, 46
2 0 0, 24.6, 100
2 0 2, 26.5, 25
1 0 5, 27.6, 72
2 2 0, 35.1, 40
2 1 5, 37.3, 65

Structure:
a b c (Å): 7.2394 7.2394 18.0194
angles (deg): 90.00 90.00 90.00
Space group I4/mmm (No. 139)
Unique sites:
Cs 0.0000 0.0000 0.1957 [4 per cell]
Cs 0.0000 0.5000 0.0000 [4 per cell]
Cd 0.0000 0.0000 0.4150 [4 per cell]
Au 0.0000 0.0000 0.0000 [2 per cell]

Record 3
# Cs3Cd4Au3
Computed X-ray powder pattern, Cu Kα (weighted mean of Kα1 and Kα2). Input: a crystal structure in Alexandria, relaxed with GGA-PBE.

Main lines, sorted by position (2θ from 10° to 90°):
(hkl), 2θ/deg, I (rel.)
2 1 1, 19.0, 48
3 2 1, 29.3, 100
4 2 0, 35.1, 58
3 3 2, 36.9, 23
5 1 0, 40.3, 22
5 5 2, 59.5, 21

Structure:
a b c (Å): 11.4215 11.4215 11.4215
angles (deg): 90.00 90.00 90.00
Space group I-43d (No. 220)
Unique sites:
Cs 0.0000 0.2500 0.3750 [12 per cell]
Cd 0.0703 0.0703 0.0703 [16 per cell]
Au 0.0000 0.2500 0.8750 [12 per cell]

Record 4
# CsCd2Au2
Computed X-ray powder pattern, Cu Kα (weighted mean of Kα1 and Kα2). Input: a crystal structure in Alexandria, relaxed with GGA-PBE.

Main lines, sorted by position (2θ from 10° to 90°):
(hkl), 2θ/deg, I (rel.)
1 1 1, 15.0, 47
1 3 1, 25.0, 41
2 0 2, 26.6, 100
1 3 3, 31.2, 89
2 2 4, 38.0, 57
1 3 5, 41.1, 52

Structure:
a b c (Å): 7.6874 12.6290 13.6562
angles (deg): 90.00 90.00 90.00
Space group Fddd (No. 70, origin choice 2)
Unique sites:
Cs 0.1250 0.1250 0.1250 [8 per cell]
Cd 0.1250 0.1250 0.5084 [16 per cell]
Au 0.1250 0.3114 0.6250 [16 per cell]